# 1
# Rb3Bi2S2Cl5O10
Calculated X-ray diffraction stick pattern, Cu Kα (weighted mean of Kα1 and Kα2). Input: a crystal structure in the Materials Project, relaxed with PBE.
Lines closer than 0.1° are merged.

Peak list (10 most intense, 10° ≤ 2θ ≤ 90°, low angle first)
- 2θ = 12.49°, I = 100.0, hkl 0 1 1
- 2θ = 17.02°, I = 91.2, hkl 0 3 1
- 2θ = 19.44°, I = 55.6, hkl 1 0 1
- 2θ = 21.24°, I = 94.4, hkl 1 3 -1
- 2θ = 23.69°, I = 74.5, hkl 0 5 1
- 2θ = 24.60°, I = 76.1, hkl 0 6 0
- 2θ = 26.78°, I = 76.2, hkl 0 3 2
- 2θ = 29.54°, I = 52.1, hkl 2 2 0
- 2θ = 30.98°, I = 60.0, hkl 2 3 0
- 2θ = 31.53°, I = 83.3, hkl 0 5 2

Structural model:
Cell: 6.3397 21.7163 7.5506 Å, 90.00 96.70 90.00°
Space group P2_1 (No. 4)
Inequivalent atoms, fractional coordinates:
Rb 0.0058 0.0000 0.3921 x2
Rb 0.1247 0.6910 0.3304 x2
Rb 0.2545 0.8399 0.8225 x2
Bi 0.3153 0.1746 0.2079 x2
Bi 0.4264 0.5178 0.1388 x2
S 0.0770 0.0313 0.8741 x2
S 0.1893 0.6616 0.8134 x2
Cl 0.2437 0.2650 0.4125 x2
Cl 0.3670 0.2489 0.9405 x2
Cl 0.3666 0.4273 0.3471 x2
Cl 0.4436 0.0968 0.5257 x2
Cl 0.4724 0.4441 0.8742 x2
O 0.0027 0.8488 0.1730 x2
O 0.0349 0.6282 0.6842 x2
O 0.0526 0.4979 0.0025 x2
O 0.0639 0.6973 0.9347 x2
O 0.0747 0.5639 0.2592 x2
O 0.1223 0.8462 0.3146 x2
O 0.2052 0.9856 0.7792 x2
O 0.2325 0.0739 0.9735 x2
O 0.3171 0.7060 0.7129 x2
O 0.3442 0.6194 0.9142 x2



# 2
# BiSeClO3
Calculated X-ray diffraction stick pattern, Cu Kα (weighted mean of Kα1 and Kα2). Input: a crystal structure in the Materials Project, relaxed with PBE.
Lines closer than 0.1° are merged.

Peak list (10 most intense, 10° ≤ 2θ ≤ 90°, low angle first)
- 2θ = 14.54°, I = 46.5, hkl 2 0 0
- 2θ = 19.37°, I = 58.0, hkl 2 0 1
- 2θ = 20.76°, I = 100.0, hkl 0 1 1
- 2θ = 25.43°, I = 76.0, hkl 2 1 1
- 2θ = 29.59°, I = 45.8, hkl 2 0 2
- 2θ = 30.34°, I = 37.8, hkl 3 1 1
- 2θ = 32.99°, I = 45.0, hkl 0 2 0
- 2θ = 33.74°, I = 41.5, hkl 4 1 0
- 2θ = 33.97°, I = 40.5, hkl 2 1 2
- 2θ = 46.65°, I = 48.3, hkl 6 0 1

Structural model:
Cell: 12.1824 5.4297 6.9527 Å, 90.00 90.00 90.00°
Space group Pnma (No. 62)
Inequivalent atoms, fractional coordinates:
Bi 0.0466 0.2500 0.2062 x4
Se 0.2085 0.7500 0.0182 x4
Cl 0.0540 0.7500 0.3923 x4
O 0.1135 0.5158 0.9722 x8
O 0.2268 0.2500 0.2987 x4